1.
Theoretical powder X-ray diffraction pattern
Compound: Er7Cd2Co2
Radiation: Cu Kα
Structure: a GGA-PBE-relaxed structure
Peak positions follow from Bragg's law for the DFT cell and can differ from measured ones.

Most intense lines, 2θ from 10° to 80°, low angle first:
(hkl)	Position (°2θ)	intensity
0 5 1	28.64	29
1 3 0	29.96	15
1 1 2	31.90	36
0 3 3	32.57	100
1 4 1	34.64	66
1 3 2	35.51	37
1 7 2	50.27	17
2 0 0	51.47	17
0 0 6	58.11	11
2 3 3	62.25	31

Cell lengths 3.551, 16.491, 9.526 Å; angles 90.00, 90.00, 90.00 degrees
Space group Imm2 (No. 44)
One atom of each set of equivalent atoms:
Er 0.000 0.000 0.000 x2
Er 0.000 0.140 0.565 x4
Er 0.000 0.316 0.376 x4
Er 0.000 0.349 0.727 x4
Cd 0.000 0.000 0.338 x2
Cd 0.000 0.500 0.222 x2
Co 0.000 0.240 0.078 x4

***

2.
Theoretical powder X-ray diffraction pattern
Compound: Fe2AgCl7
Radiation: Cu Kα
Structure: a GGA-PBE-relaxed structure
Peak positions follow from Bragg's law for the DFT cell and can differ from measured ones.

Most intense lines, 2θ from 10° to 80°, low angle first:
(hkl)	Position (°2θ)	intensity
1 1 0	10.75	27
0 2 0	12.06	100
1 1 1	19.99	16
2 0 1	24.62	14
1 3 1	26.42	27
3 1 1	32.50	14
0 0 2	33.99	17
0 2 2	36.18	27
4 2 0	38.26	11
4 4 0	44.03	9

Cell lengths 9.933, 14.679, 5.275 Å; angles 90.00, 90.00, 90.00 degrees
Space group Cmmm (No. 65)
One atom of each set of equivalent atoms:
Fe 0.233 0.000 0.000 x4
Ag 0.000 0.500 0.500 x2
Cl 0.000 0.000 0.000 x2
Cl 0.175 0.367 0.000 x8
Cl 0.247 0.500 0.500 x4

***

3.
Theoretical powder X-ray diffraction pattern
Compound: La4Ta3N10
Radiation: Cu Kα
Structure: a GGA-PBE-relaxed structure
Peak positions follow from Bragg's law for the DFT cell and can differ from measured ones.

Most intense lines, 2θ from 10° to 80°, low angle first:
(hkl)	Position (°2θ)	intensity
1 0 7	30.65	100
1 1 0	30.83	56
0 0 14	43.65	11
2 0 0	44.15	28
1 1 14	54.39	18
2 1 7	54.71	41
2 0 14	63.83	14
2 2 0	64.21	9
1 0 21	72.10	6
3 1 0	72.88	20

Cell lengths 4.102, 4.102, 29.031 Å; angles 90.00, 90.00, 90.00 degrees
Space group I4/mmm (No. 139)
One atom of each set of equivalent atoms:
La 0.000 0.000 0.072 x4
La 0.000 0.000 0.203 x4
Ta 0.000 0.000 0.357 x4
Ta 0.000 0.000 0.500 x2
N 0.000 0.000 0.286 x4
N 0.000 0.000 0.430 x4
N 0.000 0.500 0.000 x4
N 0.000 0.500 0.139 x8